For EuU3, a cell relaxed with PBE gives the calculated powder diffraction line list in this record (a wavelength of 1.5418 Å).
Neutral-atom scattering factors, no anomalous dispersion.

Peak list (8 most intense, 2θ = 10–80°, sorted by position)
- 2θ = 19.77°, d = 4.491 Å, rel. 2.2
- 2θ = 28.10°, d = 3.176 Å, rel. 2.0
- 2θ = 34.59°, d = 2.593 Å, rel. 100.0
- 2θ = 40.16°, d = 2.246 Å, rel. 50.2
- 2θ = 45.14°, d = 2.009 Å, rel. 1.2
- 2θ = 58.09°, d = 1.588 Å, rel. 34.9
- 2θ = 69.40°, d = 1.354 Å, rel. 42.1
- 2θ = 72.97°, d = 1.296 Å, rel. 12.3

Structure:
abc: 4.4911 4.4911 4.4911
angles: 90.00 90.00 90.00
Fractional coordinates of all 4 atoms:
Eu  0.0000  0.0000  0.0000
U  0.0000  0.5000  0.5000
U  0.5000  0.0000  0.5000
U  0.5000  0.5000  0.0000


For SrCaSmNbO6, a cell relaxed with PBE gives the calculated powder diffraction line list in this record (a wavelength of 1.5418 Å).
Neutral-atom scattering factors, no anomalous dispersion.

Peak list (8 most intense, 2θ = 10–80°, sorted by position)
- 2θ = 21.19°, d = 4.194 Å, rel. 20.0
- 2θ = 30.14°, d = 2.965 Å, rel. 100.0
- 2θ = 43.14°, d = 2.097 Å, rel. 29.2
- 2θ = 48.54°, d = 1.875 Å, rel. 8.5
- 2θ = 53.53°, d = 1.712 Å, rel. 45.7
- 2θ = 62.66°, d = 1.483 Å, rel. 16.3
- 2θ = 71.09°, d = 1.326 Å, rel. 17.8
- 2θ = 79.11°, d = 1.211 Å, rel. 5.1

Structure:
abc: 8.3804 8.3897 8.3915
angles: 90.00 90.00 90.00
Fractional coordinates of all 40 atoms:
Sr  0.0000  0.0000  0.0000
Sr  0.0000  0.0000  0.5000
Sr  0.5000  0.0000  0.0000
Sr  0.5000  0.5000  0.5000
Ca  0.0000  0.5000  0.0000
Ca  0.0000  0.5000  0.5000
Ca  0.5000  0.0000  0.5000
Ca  0.5000  0.5000  0.0000
Sm  0.2498  0.2530  0.7508
Sm  0.2498  0.7470  0.2492
Sm  0.7502  0.2530  0.2492
Sm  0.7502  0.7470  0.7508
Nb  0.2495  0.2528  0.2510
Nb  0.2495  0.7472  0.7490
Nb  0.7505  0.2528  0.7490
Nb  0.7505  0.7472  0.2510
O  0.0173  0.2155  0.2003
O  0.0173  0.7845  0.7997
O  0.1946  0.4831  0.2961
O  0.1946  0.5169  0.7039
O  0.2172  0.2039  0.4840
O  0.2172  0.7961  0.5160
O  0.2924  0.0170  0.2142
O  0.2924  0.9830  0.7858
O  0.2933  0.3075  0.0181
O  0.2933  0.6925  0.9819
O  0.4835  0.2861  0.2958
O  0.4835  0.7139  0.7042
O  0.5165  0.2861  0.7042
O  0.5165  0.7139  0.2958
O  0.7067  0.3075  0.9819
O  0.7067  0.6925  0.0181
O  0.7076  0.0170  0.7858
O  0.7076  0.9830  0.2142
O  0.7828  0.2039  0.5160
O  0.7828  0.7961  0.4840
O  0.8054  0.4831  0.7039
O  0.8054  0.5169  0.2961
O  0.9827  0.2155  0.7997
O  0.9827  0.7845  0.2003


For Ti2ZnO4, a cell relaxed with PBE gives the calculated powder diffraction line list in this record (a wavelength of 1.5418 Å).
Neutral-atom scattering factors, no anomalous dispersion.

Peak list (8 most intense, 2θ = 10–80°, sorted by position)
- 2θ = 34.30°, d = 2.614 Å, rel. 75.5
- 2θ = 34.66°, d = 2.588 Å, rel. 79.6
- 2θ = 34.80°, d = 2.578 Å, rel. 100.0
- 2θ = 34.95°, d = 2.567 Å, rel. 60.2
- 2θ = 35.19°, d = 2.550 Å, rel. 42.7
- 2θ = 42.33°, d = 2.135 Å, rel. 61.4
- 2θ = 60.47°, d = 1.531 Å, rel. 93.0
- 2θ = 61.73°, d = 1.503 Å, rel. 57.0

Structure:
abc: 6.1280 6.1280 20.0848
angles: 99.59 99.59 58.19
Fractional coordinates of all 56 atoms:
Ti  0.0000  0.0000  0.0000
Ti  0.0431  0.5003  0.5818
Ti  0.0560  0.5158  0.0914
Ti  0.1586  0.1586  0.4655
Ti  0.2510  0.2510  0.7451
Ti  0.2642  0.7911  0.8377
Ti  0.2894  0.7664  0.3351
Ti  0.3067  0.3067  0.9276
Ti  0.4090  0.4090  0.2175
Ti  0.5003  0.0431  0.5818
Ti  0.5016  0.5016  0.4898
Ti  0.5158  0.0560  0.0914
Ti  0.5577  0.5577  0.6787
Ti  0.7526  0.7526  0.2418
Ti  0.7664  0.2894  0.3351
Ti  0.7911  0.2642  0.8377
Zn  0.0173  0.0173  0.5859
Zn  0.0606  0.0606  0.1828
Zn  0.2696  0.2696  0.3398
Zn  0.5345  0.5345  0.0907
Zn  0.6551  0.6551  0.9646
Zn  0.7764  0.7764  0.8372
Zn  0.8163  0.8163  0.4308
Zn  0.8957  0.8957  0.7090
O  0.0847  0.0847  0.2823
O  0.0892  0.6060  0.7775
O  0.0945  0.0945  0.7771
O  0.1028  0.5891  0.2764
O  0.2061  0.7080  0.6480
O  0.2156  0.2156  0.6482
O  0.2250  0.2250  0.1523
O  0.2250  0.6898  0.1495
O  0.3335  0.8504  0.5251
O  0.3349  0.3349  0.0241
O  0.3480  0.3480  0.5202
O  0.3556  0.8442  0.0294
O  0.4402  0.9614  0.4001
O  0.4624  0.4624  0.3945
O  0.4662  0.4662  0.8966
O  0.4684  0.9493  0.8973
O  0.5849  0.5849  0.7750
O  0.5891  0.1028  0.2764
O  0.5984  0.5984  0.2729
O  0.6060  0.0892  0.7775
O  0.6898  0.2250  0.1495
O  0.7080  0.2061  0.6480
O  0.7118  0.7118  0.6458
O  0.7220  0.7220  0.1460
O  0.8333  0.8333  0.5330
O  0.8410  0.8410  0.0298
O  0.8442  0.3556  0.0294
O  0.8504  0.3335  0.5251
O  0.9493  0.4684  0.8973
O  0.9614  0.4402  0.4001
O  0.9716  0.9716  0.9033
O  0.9800  0.9800  0.3972


For Li2BiS2, a cell relaxed with PBE gives the calculated powder diffraction line list in this record (a wavelength of 1.5418 Å).
Neutral-atom scattering factors, no anomalous dispersion.

Peak list (8 most intense, 2θ = 10–80°, sorted by position)
- 2θ = 13.12°, d = 6.750 Å, rel. 89.5
- 2θ = 23.05°, d = 3.858 Å, rel. 44.7
- 2θ = 23.20°, d = 3.833 Å, rel. 100.0
- 2θ = 29.78°, d = 3.001 Å, rel. 66.7
- 2θ = 34.29°, d = 2.615 Å, rel. 57.6
- 2θ = 40.26°, d = 2.240 Å, rel. 34.4
- 2θ = 41.59°, d = 2.172 Å, rel. 52.5
- 2θ = 51.26°, d = 1.782 Å, rel. 23.8

Structure:
abc: 3.9978 13.4995 4.0264
angles: 90.00 90.00 90.00
Fractional coordinates of all 10 atoms:
Li  0.0709  0.2429  0.0000
Li  0.4291  0.7429  0.5000
Li  0.5709  0.2571  0.5000
Li  0.9291  0.7571  0.0000
Bi  0.0000  0.5000  0.0000
Bi  0.5000  0.0000  0.5000
S  0.0683  0.3530  0.5000
S  0.4317  0.8530  0.0000
S  0.5683  0.1470  0.0000
S  0.9317  0.6470  0.5000